MnRuN2: calculated powder X-ray diffraction pattern (Cu Ka), based on a DFT-relaxed cell (GGA-PBE, the Materials Project).

Structure:
```
MnRuN2
1.0
5.2017 0.0000 0.0000
0.0000 6.3555 0.0000
0.0000 0.0000 5.1643
Mn Ru N
4 4 8
Cartesian
0.6171 0.7448 0.0000 Mn
1.9837 3.9225 2.5821 Mn
3.2180 2.4330 0.0000 Mn
4.5846 5.6108 2.5821 Mn
0.3314 4.1646 0.0090 Ru
2.2695 0.9869 2.5912 Ru
2.9322 5.3687 0.0090 Ru
4.8703 2.1909 2.5912 Ru
0.2671 4.0630 1.9999 N
0.4364 0.5433 1.8235 N
2.1645 3.7211 4.4056 N
2.3337 0.8852 4.5821 N
2.8680 5.4703 1.9999 N
3.0372 2.6344 1.8235 N
4.7653 5.8122 4.4056 N
4.9345 2.2926 4.5821 N
```

Principal peaks in the range 10 to 90 degrees two-theta, low angle first:
| (hkl) | 2θ (°) | Rel. int. |
| --- | --- | --- |
| 0 1 1 | 22.16 | 33 |
| 1 2 0 | 33.03 | 39 |
| 0 0 2 | 34.74 | 58 |
| 1 2 1 | 37.46 | 100 |
| 2 0 1 | 38.77 | 47 |
| 1 2 3 | 64.07 | 29 |